No. 1
Structure and theoretical powder diffractogram of PrNd2Cd3 (a cell relaxed with GGA-PBE; Cu Ka).
Neutral-atom scattering factors, no anomalous dispersion.

Main lines, in order of rising 2θ (10 to 90 degrees two-theta):
d (Å)	Rel. int.
3.865	1
2.733	100
1.933	18
1.729	1
1.578	37
1.367	11
1.222	16
1.116	4

Atomic structure:
Lattice parameters (Å, degrees): 5.4666 5.4666 6.6935 90.00 90.00 120.00
Space group P-3m1 (No. 164)
Unique sites:
1 Pr 0.0000 0.0000 0.0000 [1 per cell]
2 Nd 0.3333 0.6667 0.6657 [2 per cell]
3 Cd 0.0000 0.0000 0.5000 [1 per cell]
4 Cd 0.3333 0.6667 0.1678 [2 per cell]

No. 2
Structure and theoretical powder diffractogram of Cu2TeOs2 (a cell relaxed with GGA-PBE; Cu Ka).
Neutral-atom scattering factors, no anomalous dispersion.

Main lines, in order of rising 2θ (10 to 90 degrees two-theta):
d (Å)	Rel. int.
6.314	39
3.157	27
2.750	14
2.379	100
2.074	16
1.992	27
1.816	31
1.628	16
1.574	15
1.130	19

Atomic structure:
Lattice parameters (Å, degrees): 3.633 3.633 12.627 90.00 90.00 90.00
Space group I4/mmm (No. 139)
Unique sites:
1 Cu 0.000 0.000 0.100 [4 per cell]
2 Te 0.000 0.000 0.500 [2 per cell]
3 Os 0.000 0.500 0.250 [4 per cell]

No. 3
Structure and theoretical powder diffractogram of K5AsO4F2 (a cell relaxed with GGA-PBE; Cu Ka).
Neutral-atom scattering factors, no anomalous dispersion.

Main lines, in order of rising 2θ (10 to 90 degrees two-theta):
d (Å)	Rel. int.
7.629	20
5.322	38
3.143	32
3.100	100
3.033	36
2.945	97
2.182	75
1.907	18
1.705	27
1.601	21

Atomic structure:
Lattice parameters (Å, degrees): 7.629 10.001 6.286 90.00 90.00 90.00
Space group Amm2 (No. 38)
Unique sites:
1 K 0.000 0.000 0.000 [2 per cell]
2 K 0.263 0.186 0.491 [8 per cell]
3 As 0.500 0.000 0.999 [2 per cell]
4 O 0.317 0.000 0.163 [4 per cell]
5 O 0.500 0.140 0.836 [4 per cell]
6 F 0.000 0.210 0.753 [4 per cell]

No. 4
Structure and theoretical powder diffractogram of Ce2ZnGa12 (a cell relaxed with GGA-PBE; Cu Ka).
Neutral-atom scattering factors, no anomalous dispersion.

Main lines, in order of rising 2θ (10 to 90 degrees two-theta):
d (Å)	Rel. int.
2.883	100
2.444	10
2.411	22
2.206	45
2.196	23
2.177	11
1.966	14
1.751	21
1.372	10
1.368	13

Atomic structure:
Lattice parameters (Å, degrees): 6.240 6.240 15.194 90.00 90.00 90.00
Space group P4/nbm (No. 125, origin choice 2)
Unique sites:
1 Ce 0.250 0.750 0.245 [4 per cell]
2 Zn 0.250 0.750 0.000 [2 per cell]
3 Ga 0.000 0.000 0.090 [8 per cell]
4 Ga 0.078 0.578 0.428 [8 per cell]
5 Ga 0.250 0.250 0.182 [4 per cell]
6 Ga 0.250 0.250 0.343 [4 per cell]

No. 5
Structure and theoretical powder diffractogram of CaSm3Bi2 (a cell relaxed with GGA-PBE; Cu Ka).
Neutral-atom scattering factors, no anomalous dispersion.

Main lines, in order of rising 2θ (10 to 90 degrees two-theta):
d (Å)	Rel. int.
4.112	26
3.278	54
3.076	71
2.968	40
2.640	100
2.500	39
2.318	65
1.827	40
1.700	25
1.393	28

Atomic structure:
Lattice parameters (Å, degrees): 4.636 4.636 8.903 90.00 90.00 90.00
Space group P-4m2 (No. 115)
Unique sites:
1 Ca 0.000 0.000 0.000 [1 per cell]
2 Sm 0.000 0.500 0.351 [2 per cell]
3 Sm 0.500 0.500 0.000 [1 per cell]
4 Bi 0.000 0.500 0.717 [2 per cell]